For Li5Mn3Co2O10, a cell relaxed with GGA+U gives the calculated X-ray diffraction stick pattern in this record (Cu Ka).
Neutral-atom scattering factors, no anomalous dispersion.

Cell and atoms:
abc: 5.0750 5.9268 6.7113
angles: 103.28 97.46 107.95
Space group P-1 (No. 2)
Asymmetric unit:
Li: 0.0000 0.0000 0.0000 x1
Li: 0.1892 0.9116 0.3990 x2
Li: 0.3997 0.2852 0.7925 x2
Mn: 0.0000 0.5000 0.0000 x1
Mn: 0.1939 0.3934 0.3983 x2
Co: 0.4099 0.8159 0.8062 x2
O: 0.0860 0.4526 0.6761 x2
O: 0.0870 0.9253 0.6921 x2
O: 0.2799 0.3631 0.1214 x2
O: 0.2972 0.8289 0.0908 x2
O: 0.4892 0.2751 0.4891 x2

Top 12 peaks for 5° ≤ 2θ ≤ 70°, by angle:
2θ (°)	I_rel	index
16.41	37.1	0 1 0
18.24	100.0	0 1 -1
20.20	30.9	1 -1 0
24.24	19.2	1 -1 1
24.95	25.0	-1 1 1
42.71	70.0	1 0 -3
43.13	67.4	2 -2 1
44.09	62.4	1 2 0
61.93	18.9	1 -2 4
62.71	35.3	-3 2 2
62.90	19.4	0 2 3
63.23	18.5	2 2 -3